No. 1
Simulated PXRD pattern
Compound: Li4CrGa3O8
Radiation: Cu Kα, 1.54184 Å
Structure: a DFT-relaxed cell (PBE+U, Alexandria)

```
data_Li4CrGa3O8
_chemical_formula_sum 'Li4 Cr1 Ga3 O8'
_space_group_name_H-M_alt 'P 1'
_space_group_IT_number 1
_cell_length_a 5.0300
_cell_length_b 5.5410
_cell_length_c 6.5141
_cell_angle_alpha 88.07
_cell_angle_beta 89.65
_cell_angle_gamma 89.95
loop_
_space_group_symop_operation_xyz
'x,y,z'
loop_
_atom_site_label
_atom_site_type_symbol
_atom_site_fract_x
_atom_site_fract_y
_atom_site_fract_z
_atom_site_occupancy
Li1 Li 0.0000 0.0000 0.0000 1
Li2 Li 0.9995 0.4982 0.2596 1
Li3 Li 0.4942 0.1619 0.7494 1
Li4 Li 0.4950 0.6608 0.5045 1
Cr1 Cr 0.9951 0.4959 0.7605 1
Ga1 Ga 0.0014 0.9924 0.4974 1
Ga2 Ga 0.5039 0.1641 0.2491 1
Ga3 Ga 0.5056 0.6723 0.0126 1
O1 O 0.3748 0.0078 0.4883 1
O2 O 0.3758 0.5187 0.7804 1
O3 O 0.3968 0.9948 0.0180 1
O4 O 0.3981 0.4881 0.2455 1
O5 O 0.8765 0.1515 0.2585 1
O6 O 0.8801 0.6654 0.0006 1
O7 O 0.8956 0.1636 0.7247 1
O8 O 0.8960 0.6675 0.5132 1
```

Most intense lines, 2θ = 5–70°, most intense first:
index  2θ (°)  intensity
2 0 0  35.69  100
1 0 1  22.27  93
1 0 -1  22.40  91
0 1 -2  32.35  91
0 1 1  20.70  84
1 -2 0  37.05  74
0 1 -1  21.41  70
0 3 2  56.51  59
0 1 2  31.40  49
1 1 -1  27.88  34
0 3 -2  58.29  30
3 2 0  65.03  24

***

No. 2
Simulated PXRD pattern
Compound: Li3Cr3GaO8
Radiation: Cu Kα, 1.54184 Å
Structure: a DFT-relaxed cell (PBE+U, Alexandria)

```
data_Li3Cr3GaO8
_chemical_formula_sum 'Li6 Cr6 Ga2 O16'
_space_group_name_H-M_alt 'P 1'
_space_group_IT_number 1
_cell_length_a 5.2012
_cell_length_b 5.9219
_cell_length_c 10.6323
_cell_angle_alpha 105.68
_cell_angle_beta 94.78
_cell_angle_gamma 107.33
loop_
_space_group_symop_operation_xyz
'x,y,z'
loop_
_atom_site_label
_atom_site_type_symbol
_atom_site_fract_x
_atom_site_fract_y
_atom_site_fract_z
_atom_site_occupancy
Li1 Li 0.0000 0.0000 0.0000 1
Li2 Li 0.9997 0.2624 0.4977 1
Li3 Li 0.0001 0.5284 0.0043 1
Li4 Li 0.0032 0.3911 0.2488 1
Li5 Li 0.0048 0.1280 0.7432 1
Li6 Li 0.9946 0.7566 0.4983 1
Cr1 Cr 0.4854 0.3126 0.3693 1
Cr2 Cr 0.4945 0.0678 0.8715 1
Cr3 Cr 0.4972 0.5713 0.8699 1
Cr4 Cr 0.5013 0.8200 0.3708 1
Cr5 Cr 0.5121 0.4492 0.1226 1
Cr6 Cr 0.5163 0.2023 0.6229 1
Ga1 Ga 0.4964 0.6952 0.6221 1
Ga2 Ga 0.5126 0.9445 0.1258 1
O1 O 0.2699 0.5434 0.4347 1
O2 O 0.2815 0.2881 0.9349 1
O3 O 0.2885 0.8087 0.9400 1
O4 O 0.2879 0.9327 0.6876 1
O5 O 0.2893 0.1788 0.1895 1
O6 O 0.2902 0.0542 0.4374 1
O7 O 0.2903 0.6646 0.1834 1
O8 O 0.2909 0.4165 0.6822 1
O9 O 0.7108 0.8586 0.8107 1
O10 O 0.7117 0.5822 0.3133 1
O11 O 0.7130 0.3324 0.8134 1
O12 O 0.7152 0.1060 0.3109 1
O13 O 0.7149 0.4686 0.5449 1
O14 O 0.7226 0.7182 0.0515 1
O15 O 0.7286 0.2194 0.0548 1
O16 O 0.7290 0.9683 0.5575 1
```

Most intense lines, 2θ = 5–70°, most intense first:
index  2θ (°)  intensity
1 0 0  18.16  100
1 0 4  43.30  43
0 0 4  35.70  25
-2 2 1  42.66  23
-1 2 1  35.34  12
-1 2 5  62.64  12
3 0 -4  62.12  11
1 0 -4  37.18  11
2 -2 3  47.00  7
1 -4 2  62.77  6
0 2 -7  63.12  6
-3 2 1  56.26  5

***

No. 3
Simulated PXRD pattern
Compound: Li12CrGa11O24
Radiation: Cu Kα, 1.54184 Å
Structure: a DFT-relaxed cell (PBE+U, Alexandria)

```
data_Li12CrGa11O24
_chemical_formula_sum 'Li12 Cr1 Ga11 O24'
_space_group_name_H-M_alt 'P 1'
_space_group_IT_number 1
_cell_length_a 7.4768
_cell_length_b 8.2134
_cell_length_c 9.8610
_cell_angle_alpha 78.86
_cell_angle_beta 86.63
_cell_angle_gamma 65.61
loop_
_space_group_symop_operation_xyz
'x,y,z'
loop_
_atom_site_label
_atom_site_type_symbol
_atom_site_fract_x
_atom_site_fract_y
_atom_site_fract_z
_atom_site_occupancy
Li1 Li 0.0000 0.0000 0.0000 1
Li2 Li 0.0222 0.6110 0.1390 1
Li3 Li 0.1120 0.9443 0.5555 1
Li4 Li 0.2556 0.9994 0.2523 1
Li5 Li 0.3328 0.3339 0.6667 1
Li6 Li 0.3583 0.9489 0.8036 1
Li7 Li 0.4384 0.2824 0.2199 1
Li8 Li 0.5752 0.3397 0.9145 1
Li9 Li 0.6675 0.6645 0.3328 1
Li10 Li 0.6936 0.2778 0.4754 1
Li11 Li 0.7722 0.6117 0.8904 1
Li12 Li 0.9155 0.6665 0.5853 1
Cr1 Cr 0.8263 0.3291 0.1686 1
Ga1 Ga 0.0878 0.3318 0.4169 1
Ga2 Ga 0.1653 0.6702 0.8328 1
Ga3 Ga 0.1924 0.2790 0.9710 1
Ga4 Ga 0.2770 0.6146 0.3875 1
Ga5 Ga 0.4093 0.6764 0.0800 1
Ga6 Ga 0.5056 0.0037 0.4977 1
Ga7 Ga 0.5272 0.6148 0.6357 1
Ga8 Ga 0.6088 0.9507 0.0542 1
Ga9 Ga 0.7530 0.0007 0.7501 1
Ga10 Ga 0.8677 0.9409 0.3035 1
Ga11 Ga 0.9423 0.2824 0.7213 1
O1 O 0.0470 0.7904 0.4462 1
O2 O 0.0634 0.3994 0.5899 1
O3 O 0.1192 0.1450 0.8685 1
O4 O 0.1613 0.7370 0.0048 1
O5 O 0.2107 0.4627 0.3011 1
O6 O 0.2486 0.0826 0.4321 1
O7 O 0.2990 0.4183 0.8470 1
O8 O 0.3043 0.7781 0.7097 1
O9 O 0.3791 0.1294 0.1100 1
O10 O 0.3972 0.7327 0.2563 1
O11 O 0.4543 0.4785 0.5351 1
O12 O 0.5057 0.0671 0.6707 1
O13 O 0.5410 0.8011 0.9664 1
O14 O 0.5624 0.4293 0.0924 1
O15 O 0.6382 0.7512 0.5130 1
O16 O 0.6426 0.1130 0.3717 1
O17 O 0.7111 0.4616 0.7755 1
O18 O 0.7277 0.0705 0.9227 1
O19 O 0.7857 0.8117 0.2017 1
O20 O 0.8394 0.3941 0.3423 1
O21 O 0.8808 0.1275 0.6350 1
O22 O 0.9083 0.7504 0.7659 1
O23 O 0.9662 0.4407 0.0435 1
O24 O 0.9883 0.0711 0.1846 1
```

Most intense lines, 2θ = 5–70°, most intense first:
index  2θ (°)  intensity
1 0 -2  22.29  100
2 2 -2  35.41  45
1 -1 0  21.11  43
1 1 2  21.29  41
2 3 2  36.92  27
-2 1 2  36.71  27
2 0 2  32.52  24
-1 2 1  32.01  24
1 2 3  32.25  23
3 -2 1  57.55  16
0 4 4  57.04  16
3 2 5  58.01  15

***

No. 4
Simulated PXRD pattern
Compound: Li3Cr3GaO8
Radiation: Cu Kα, 1.54184 Å
Structure: a DFT-relaxed cell (PBE+U, Alexandria)

```
data_Li3Cr3GaO8
_chemical_formula_sum 'Li6 Cr6 Ga2 O16'
_space_group_name_H-M_alt 'P 1'
_space_group_IT_number 1
_cell_length_a 5.1975
_cell_length_b 5.9456
_cell_length_c 10.2256
_cell_angle_alpha 106.59
_cell_angle_beta 100.07
_cell_angle_gamma 90.11
loop_
_space_group_symop_operation_xyz
'x,y,z'
loop_
_atom_site_label
_atom_site_type_symbol
_atom_site_fract_x
_atom_site_fract_y
_atom_site_fract_z
_atom_site_occupancy
Li1 Li 0.0000 0.0000 0.0000 1
Li2 Li 0.0021 0.5214 0.0069 1
Li3 Li 0.2773 0.8920 0.2748 1
Li4 Li 0.2847 0.4118 0.2816 1
Li5 Li 0.5174 0.3097 0.5274 1
Li6 Li 0.7368 0.1125 0.7436 1
Cr1 Cr 0.0143 0.0160 0.5098 1
Cr2 Cr 0.2470 0.3937 0.7633 1
Cr3 Cr 0.2633 0.8888 0.7607 1
Cr4 Cr 0.5043 0.2673 0.0139 1
Cr5 Cr 0.7602 0.6417 0.2619 1
Cr6 Cr 0.7710 0.1408 0.2599 1
Ga1 Ga 0.5132 0.7653 0.0095 1
Ga2 Ga 0.9982 0.5257 0.5161 1
O1 O 0.1058 0.7097 0.3882 1
O2 O 0.1225 0.1998 0.3910 1
O3 O 0.1633 0.2010 0.8900 1
O4 O 0.1702 0.7072 0.8892 1
O5 O 0.3348 0.5749 0.6419 1
O6 O 0.3469 0.0905 0.6415 1
O7 O 0.4037 0.5720 0.1346 1
O8 O 0.4122 0.0835 0.1332 1
O9 O 0.6000 0.4438 0.8980 1
O10 O 0.6093 0.9743 0.8965 1
O11 O 0.6706 0.4426 0.3803 1
O12 O 0.6788 0.9551 0.3807 1
O13 O 0.8508 0.3316 0.1345 1
O14 O 0.8576 0.8268 0.1350 1
O15 O 0.9020 0.3078 0.6258 1
O16 O 0.9215 0.8431 0.6281 1
```

Most intense lines, 2θ = 5–70°, most intense first:
index  2θ (°)  intensity
1 0 -1  18.10  100
0 2 -3  35.60  25
-1 2 2  42.89  22
1 2 -4  43.13  22
2 0 2  43.00  22
0 2 1  35.40  13
0 4 -2  62.46  12
3 0 1  56.56  10
2 2 -1  46.89  7
1 -2 2  37.03  7
1 2 4  62.76  6
1 -2 6  63.02  6